# 1
Pr2Co5Ni5: simulated XRD peak list (copper Kα), based on a cell relaxed with PBE.
Lines closer than 0.1° are merged.

Structural model:
```
12
Lattice="3.9672 0.0000 0.0000 0.0000 5.0414 0.0000 0.0000 0.0000 8.6040" Properties=species:S:1:pos:R:3 pbc="T T T"
Pr 0.0000 0.0000 0.0000
Pr 0.0000 2.5207 4.3020
Co 0.0000 0.0000 2.8776
Co 0.0000 0.0000 5.7265
Co 0.0000 2.5207 1.3570
Co 0.0000 2.5207 7.2470
Co 1.9836 2.5207 0.0000
Ni 1.9836 0.0000 4.3020
Ni 1.9836 1.2610 2.1530
Ni 1.9836 1.2610 6.4510
Ni 1.9836 3.7804 2.1530
Ni 1.9836 3.7804 6.4510
```

Largest 8 diffraction maxima, sorted by position, 10° ≤ 2θ ≤ 90°:
d_spacing  two_theta  Rel. int.
2.931  30.50  464
2.916  30.66  275
2.493  36.03  308
2.175  41.52  401
2.128  42.49  525
2.111  42.84  1000
1.984  45.74  402
1.362  68.96  227

***

# 2
Pr4Co3Ni: simulated XRD peak list (copper Kα), based on a cell relaxed with PBE.
Lines closer than 0.1° are merged.

Structural model:
```
8
Lattice="3.9823 0.0000 0.0000 0.0000 4.0279 0.0000 0.0000 0.0000 11.2775" Properties=species:S:1:pos:R:3 pbc="T T T"
Pr 0.0000 0.0000 0.0000
Pr 0.0000 2.0139 5.5940
Pr 1.9912 0.0000 3.1259
Pr 1.9912 2.0139 8.7660
Co 0.0000 0.0000 7.7883
Co 0.0000 2.0139 2.2533
Co 1.9912 0.0000 6.6042
Ni 1.9912 2.0139 0.8676
```

Largest 8 diffraction maxima, sorted by position, 10° ≤ 2θ ≤ 90°:
d_spacing  two_theta  Rel. int.
3.253  27.42  257
2.819  31.74  141
2.747  32.59  1000
2.262  39.85  306
2.014  45.01  146
1.991  45.56  141
1.612  57.12  161
1.265  75.12  134

***

# 3
PrSmCoNi: simulated XRD peak list (copper Kα), based on a cell relaxed with PBE.
Lines closer than 0.1° are merged.

Structural model:
```
8
Lattice="3.9865 0.0000 0.0000 0.0000 3.9352 0.0000 0.0000 0.0000 11.0637" Properties=species:S:1:pos:R:3 pbc="T T T"
Pr 0.0000 0.0000 0.0000
Pr 0.0000 1.9676 5.5318
Sm 1.9933 0.0000 7.9775
Sm 1.9933 1.9676 2.4457
Co 1.9933 0.0000 4.6786
Co 1.9933 1.9676 10.2105
Ni 0.0000 0.0000 3.2363
Ni 0.0000 1.9676 8.7681
```

Largest 8 diffraction maxima, sorted by position, 10° ≤ 2θ ≤ 90°:
d_spacing  two_theta  Rel. int.
3.234  27.58  390
2.766  32.37  275
2.715  32.99  1000
2.691  33.30  568
2.230  40.44  521
1.993  45.51  235
1.968  46.13  226
1.602  57.52  340

***

# 4
PrYCo6Ni4: simulated XRD peak list (copper Kα), based on a cell relaxed with PBE.
Lines closer than 0.1° are merged.

Structural model:
```
12
Lattice="3.9438 0.0000 0.0000 0.0000 5.0434 0.0000 0.0000 0.0000 8.5121" Properties=species:S:1:pos:R:3 pbc="T T T"
Pr 0.0000 0.0000 0.0000
Y 0.0000 2.5217 4.2560
Co 0.0000 0.0000 2.9530
Co 0.0000 0.0000 5.5591
Co 0.0000 2.5217 1.3785
Co 0.0000 2.5217 7.1336
Co 1.9719 0.0000 4.2560
Co 1.9719 2.5217 0.0000
Ni 1.9719 1.2773 2.1667
Ni 1.9719 1.2773 6.3454
Ni 1.9719 3.7661 2.1667
Ni 1.9719 3.7661 6.3454
```

Largest 8 diffraction maxima, sorted by position, 10° ≤ 2θ ≤ 90°:
d_spacing  two_theta  Rel. int.
2.918  30.63  350
2.893  30.91  257
2.473  36.33  282
2.169  41.63  416
2.125  42.54  698
2.095  43.18  1000
1.972  46.03  427
1.358  69.18  226